Diffraction record for CaSO6. The powder X-ray diffraction pattern is calculated, not measured: it uses a crystal structure in the Materials Project, relaxed with PBE and a wavelength of 1.5418 Å.

Peak list (10 most intense, 10° ≤ 2θ ≤ 80°, most intense first)
d [Å], two_theta, I (rel.)
8.237, 10.7, 1000
3.058, 29.2, 776
3.993, 22.3, 609
2.592, 34.6, 239
2.860, 31.3, 207
4.119, 21.6, 205
2.059, 44.0, 199
2.377, 37.8, 154
1.936, 46.9, 142
5.184, 17.1, 126

Cell and atoms:
abc: 8.796 8.796 5.155
angles: 99.38 99.38 138.94
Fractional positions:
Ca 0.168 0.832 0.750
Ca 0.832 0.168 0.250
S 0.330 0.670 0.250
S 0.670 0.330 0.750
O 0.161 0.400 0.063
O 0.201 0.644 0.429
O 0.254 0.393 0.644
O 0.356 0.799 0.071
O 0.393 0.254 0.144
O 0.400 0.161 0.563
O 0.600 0.839 0.437
O 0.607 0.746 0.856
O 0.644 0.201 0.929
O 0.746 0.607 0.356
O 0.799 0.356 0.571
O 0.839 0.600 0.937

Diffraction record for CaSb10S6O10. The powder X-ray diffraction pattern is calculated, not measured: it uses a crystal structure in the Materials Project, relaxed with PBE and a wavelength of 1.5418 Å.

Peak list (10 most intense, 10° ≤ 2θ ≤ 80°, most intense first)
d [Å], two_theta, I (rel.)
3.277, 27.2, 1000
3.529, 25.2, 699
2.870, 31.2, 490
4.545, 19.5, 408
2.631, 34.1, 399
2.877, 31.1, 355
3.241, 27.5, 322
2.772, 32.3, 305
3.996, 22.2, 299
3.222, 27.7, 286

Cell and atoms:
abc: 13.273 13.273 17.249
angles: 117.01 117.01 25.09
Fractional positions:
Ca 0.050 0.950 0.750
Ca 0.950 0.050 0.250
Sb 0.002 0.118 0.085
Sb 0.049 0.281 0.452
Sb 0.118 0.002 0.585
Sb 0.179 0.366 0.866
Sb 0.281 0.049 0.952
Sb 0.291 0.514 0.248
Sb 0.366 0.179 0.366
Sb 0.447 0.457 0.089
Sb 0.457 0.447 0.589
Sb 0.486 0.709 0.252
Sb 0.514 0.291 0.748
Sb 0.543 0.553 0.411
Sb 0.553 0.543 0.911
Sb 0.634 0.821 0.634
Sb 0.709 0.486 0.752
Sb 0.719 0.951 0.048
Sb 0.821 0.634 0.134
Sb 0.882 0.998 0.415
Sb 0.951 0.719 0.548
Sb 0.998 0.882 0.915
S 0.082 0.566 0.356
S 0.100 0.243 0.312
S 0.243 0.100 0.812
S 0.275 0.314 0.025
S 0.314 0.275 0.525
S 0.434 0.918 0.144
S 0.566 0.082 0.856
S 0.686 0.725 0.475
S 0.725 0.686 0.975
S 0.757 0.900 0.188
S 0.900 0.757 0.688
S 0.918 0.434 0.644
O 0.101 0.812 0.335
O 0.148 0.803 0.518
O 0.163 0.671 0.628
O 0.188 0.899 0.165
O 0.197 0.852 0.982
O 0.218 0.659 0.173
O 0.329 0.837 0.872
O 0.341 0.782 0.327
O 0.349 0.589 0.821
O 0.411 0.651 0.679
O 0.589 0.349 0.321
O 0.651 0.411 0.179
O 0.659 0.218 0.673
O 0.671 0.163 0.128
O 0.782 0.341 0.827
O 0.803 0.148 0.018
O 0.812 0.101 0.835
O 0.837 0.329 0.372
O 0.852 0.197 0.482
O 0.899 0.188 0.665